# 1
Starting from a crystal structure in the Materials Project, relaxed with GGA+U, the powder diffraction line list of Fe5O7 was simulated for copper Kα.

Largest 8 diffraction maxima, low angle first, 2θ from 10° to 80°:
(2 0 2), 2θ = 31.74°, d 2.819, I = 84; (2 0 -3), 2θ = 32.11°, d 2.787, I = 100; (1 1 1), 2θ = 34.65°, d 2.589, I = 29; (4 0 -1), 2θ = 36.89°, d 2.437, I = 28; (3 1 -1), 2θ = 41.74°, d 2.164, I = 40; (3 1 0), 2θ = 42.35°, d 2.134, I = 23; (3 1 -2), 2θ = 43.87°, d 2.064, I = 48; (3 1 1), 2θ = 45.60°, d 1.989, I = 31

Cell: 9.748 2.914 8.883 Å, 90.00 105.26 90.00°
Space group C2/m (No. 12)
Inequivalent atoms, fractional coordinates:
Fe (0.000, 0.000, 0.000)
Fe (0.111, 0.000, 0.415)
Fe (0.195, 0.500, 0.816)
O (0.000, 0.500, 0.500)
O (0.039, 0.000, 0.786)
O (0.153, 0.500, 0.052)
O (0.237, 0.500, 0.364)

# 2
Starting from a crystal structure in the Materials Project, relaxed with GGA+U, the powder diffraction line list of CaCeAl2FeSi3O13 was simulated for copper Kα.

Largest 8 diffraction maxima, low angle first, 2θ from 10° to 80°:
(1 1 -1), 2θ = 18.92°, d 4.691, I = 42; (2 1 -1), 2θ = 25.15°, d 3.542, I = 50; (1 1 2), 2θ = 30.21°, d 2.958, I = 100; (0 2 0), 2θ = 30.99°, d 2.886, I = 40; (0 1 3), 2θ = 32.88°, d 2.724, I = 39; (3 1 0), 2θ = 36.67°, d 2.451, I = 29; (2 2 1), 2θ = 41.88°, d 2.157, I = 24; (5 1 -4), 2θ = 55.90°, d 1.645, I = 23

Cell: 8.972 5.771 10.240 Å, 90.00 115.14 90.00°
Space group P2_1/m (No. 11)
Inequivalent atoms, fractional coordinates:
Ca (0.118, 0.250, 0.351)
Ce (0.304, 0.750, 0.937)
Al (0.000, 0.000, 0.000)
Al (0.500, 0.000, 0.500)
Fe (0.430, 0.250, 0.725)
Si (0.086, 0.250, 0.768)
Si (0.206, 0.750, 0.544)
Si (0.363, 0.250, 0.173)
O (0.016, 0.750, 0.410)
O (0.035, 0.017, 0.831)
O (0.150, 0.750, 0.052)
O (0.160, 0.250, 0.088)
O (0.177, 0.750, 0.691)
O (0.283, 0.250, 0.821)
O (0.298, 0.510, 0.532)
O (0.400, 0.250, 0.347)
O (0.433, 0.750, 0.380)
O (0.445, 0.026, 0.127)

# 3
Starting from a crystal structure in the Materials Project, relaxed with GGA+U, the powder diffraction line list of Ti3VCo2P6O24 was simulated for copper Kα.

Largest 8 diffraction maxima, low angle first, 2θ from 10° to 80°:
(1 1 0), 2θ = 20.49°, d 4.335, I = 75; (2 -1 3), 2θ = 24.11°, d 3.692, I = 100; (2 0 2), 2θ = 25.17°, d 3.538, I = 19; (1 1 6), 2θ = 32.77°, d 2.733, I = 64; (3 0 0), 2θ = 35.87°, d 2.503, I = 31; (3 -2 8), 2θ = 47.00°, d 1.933, I = 30; (4 -2 6), 2θ = 49.37°, d 1.846, I = 24; (4 1 0), 2θ = 56.12°, d 1.639, I = 21

Cell: 8.6720 8.6720 21.1205 Å, 90.00 90.00 120.00°
Space group R3 (No. 146, hexagonal axes)
Inequivalent atoms, fractional coordinates:
Ti (0.0000, 0.0000, 0.0000)
Ti (0.0000, 0.0000, 0.2144)
Ti (0.0000, 0.0000, 0.5000)
V (0.0000, 0.0000, 0.7156)
Co (0.0000, 0.0000, 0.3563)
Co (0.0000, 0.0000, 0.8571)
P (0.0002, 0.2916, 0.6077)
P (0.0003, 0.7078, 0.1072)
O (0.0000, 0.1888, 0.5470)
O (0.9995, 0.1947, 0.6672)
O (0.0053, 0.8144, 0.1667)
O (0.0174, 0.1843, 0.2770)
O (0.0219, 0.8336, 0.7806)
O (0.1459, 0.6691, 0.7138)
O (0.1699, 0.4814, 0.6017)
O (0.1698, 0.6899, 0.1020)

# 4
Starting from a crystal structure in the Materials Project, relaxed with GGA+U, the powder diffraction line list of CaLa2CoO6 was simulated for copper Kα.

Largest 8 diffraction maxima, low angle first, 2θ from 10° to 80°:
(0 1 2), 2θ = 21.97°, d 4.047, I = 38; (2 -1 0), 2θ = 30.59°, d 2.923, I = 51; (1 0 -3), 2θ = 30.71°, d 2.912, I = 100; (1 2 1), 2θ = 31.82°, d 2.813, I = 47; (-1 3 1), 2θ = 31.97°, d 2.799, I = 94; (0 2 4), 2θ = 44.93°, d 2.017, I = 53; (3 -2 3), 2θ = 54.45°, d 1.685, I = 28; (-2 3 4), 2θ = 55.37°, d 1.659, I = 30

Cell: 5.845 9.580 10.073 Å, 100.00 90.06 107.39°
Space group P1 (No. 1)
Inequivalent atoms, fractional coordinates:
Ca (0.000, 0.000, 0.000)
Ca (0.246, 0.498, 0.750)
Ca (0.497, 0.999, 0.501)
Ca (0.743, 0.497, 0.251)
La (0.051, 0.108, 0.685)
La (0.189, 0.388, 0.066)
La (0.298, 0.608, 0.437)
La (0.444, 0.889, 0.814)
La (0.553, 0.109, 0.185)
La (0.692, 0.389, 0.566)
La (0.798, 0.607, 0.936)
La (0.945, 0.890, 0.315)
Co (0.122, 0.249, 0.376)
Co (0.372, 0.748, 0.126)
Co (0.621, 0.248, 0.875)
Co (0.871, 0.748, 0.626)
O (0.008, 0.372, 0.278)
O (0.031, 0.622, 0.132)
O (0.092, 0.371, 0.542)
O (0.154, 0.128, 0.209)
O (0.196, 0.870, 0.617)
O (0.234, 0.125, 0.473)
O (0.264, 0.873, 0.028)
O (0.299, 0.126, 0.882)
O (0.344, 0.871, 0.293)
O (0.399, 0.626, 0.958)
O (0.443, 0.370, 0.368)
O (0.479, 0.624, 0.223)
O (0.508, 0.371, 0.778)
O (0.546, 0.626, 0.634)
O (0.589, 0.369, 0.042)
O (0.650, 0.126, 0.709)
O (0.712, 0.875, 0.119)
O (0.735, 0.126, 0.973)
O (0.759, 0.871, 0.529)
O (0.798, 0.127, 0.384)
O (0.844, 0.871, 0.792)
O (0.898, 0.625, 0.459)
O (0.945, 0.371, 0.868)
O (0.983, 0.625, 0.722)

What did the second record say?
Starting from a crystal structure in the Materials Project, relaxed with GGA+U, the powder diffraction line list of CaCeAl2FeSi3O13 was simulated for copper Kα.

Largest 8 diffraction maxima, low angle first, 2θ from 10° to 80°:
(1 1 -1), 2θ = 18.92°, d 4.691, I = 42; (2 1 -1), 2θ = 25.15°, d 3.542, I = 50; (1 1 2), 2θ = 30.21°, d 2.958, I = 100; (0 2 0), 2θ = 30.99°, d 2.886, I = 40; (0 1 3), 2θ = 32.88°, d 2.724, I = 39; (3 1 0), 2θ = 36.67°, d 2.451, I = 29; (2 2 1), 2θ = 41.88°, d 2.157, I = 24; (5 1 -4), 2θ = 55.90°, d 1.645, I = 23

Cell: 8.972 5.771 10.240 Å, 90.00 115.14 90.00°
Space group P2_1/m (No. 11)
Inequivalent atoms, fractional coordinates:
Ca (0.118, 0.250, 0.351)
Ce (0.304, 0.750, 0.937)
Al (0.000, 0.000, 0.000)
Al (0.500, 0.000, 0.500)
Fe (0.430, 0.250, 0.725)
Si (0.086, 0.250, 0.768)
Si (0.206, 0.750, 0.544)
Si (0.363, 0.250, 0.173)
O (0.016, 0.750, 0.410)
O (0.035, 0.017, 0.831)
O (0.150, 0.750, 0.052)
O (0.160, 0.250, 0.088)
O (0.177, 0.750, 0.691)
O (0.283, 0.250, 0.821)
O (0.298, 0.510, 0.532)
O (0.400, 0.250, 0.347)
O (0.433, 0.750, 0.380)
O (0.445, 0.026, 0.127)

Copy entry 2 word for word.
Starting from a crystal structure in the Materials Project, relaxed with GGA+U, the powder diffraction line list of CaCeAl2FeSi3O13 was simulated for copper Kα.

Largest 8 diffraction maxima, low angle first, 2θ from 10° to 80°:
(1 1 -1), 2θ = 18.92°, d 4.691, I = 42; (2 1 -1), 2θ = 25.15°, d 3.542, I = 50; (1 1 2), 2θ = 30.21°, d 2.958, I = 100; (0 2 0), 2θ = 30.99°, d 2.886, I = 40; (0 1 3), 2θ = 32.88°, d 2.724, I = 39; (3 1 0), 2θ = 36.67°, d 2.451, I = 29; (2 2 1), 2θ = 41.88°, d 2.157, I = 24; (5 1 -4), 2θ = 55.90°, d 1.645, I = 23

Cell: 8.972 5.771 10.240 Å, 90.00 115.14 90.00°
Space group P2_1/m (No. 11)
Inequivalent atoms, fractional coordinates:
Ca (0.118, 0.250, 0.351)
Ce (0.304, 0.750, 0.937)
Al (0.000, 0.000, 0.000)
Al (0.500, 0.000, 0.500)
Fe (0.430, 0.250, 0.725)
Si (0.086, 0.250, 0.768)
Si (0.206, 0.750, 0.544)
Si (0.363, 0.250, 0.173)
O (0.016, 0.750, 0.410)
O (0.035, 0.017, 0.831)
O (0.150, 0.750, 0.052)
O (0.160, 0.250, 0.088)
O (0.177, 0.750, 0.691)
O (0.283, 0.250, 0.821)
O (0.298, 0.510, 0.532)
O (0.400, 0.250, 0.347)
O (0.433, 0.750, 0.380)
O (0.445, 0.026, 0.127)

Please write out number 1 again, unchanged.
Starting from a crystal structure in the Materials Project, relaxed with GGA+U, the powder diffraction line list of Fe5O7 was simulated for copper Kα.

Largest 8 diffraction maxima, low angle first, 2θ from 10° to 80°:
(2 0 2), 2θ = 31.74°, d 2.819, I = 84; (2 0 -3), 2θ = 32.11°, d 2.787, I = 100; (1 1 1), 2θ = 34.65°, d 2.589, I = 29; (4 0 -1), 2θ = 36.89°, d 2.437, I = 28; (3 1 -1), 2θ = 41.74°, d 2.164, I = 40; (3 1 0), 2θ = 42.35°, d 2.134, I = 23; (3 1 -2), 2θ = 43.87°, d 2.064, I = 48; (3 1 1), 2θ = 45.60°, d 1.989, I = 31

Cell: 9.748 2.914 8.883 Å, 90.00 105.26 90.00°
Space group C2/m (No. 12)
Inequivalent atoms, fractional coordinates:
Fe (0.000, 0.000, 0.000)
Fe (0.111, 0.000, 0.415)
Fe (0.195, 0.500, 0.816)
O (0.000, 0.500, 0.500)
O (0.039, 0.000, 0.786)
O (0.153, 0.500, 0.052)
O (0.237, 0.500, 0.364)